For Er8Ru2Rh, a structure optimized by DFT (PBE) gives the calculated X-ray powder pattern in this record (λ = 1.5418 Å (Cu Kα)).
Kinematic intensities with the Lorentz-polarization factor, no thermal factor.

Peak list (8 most intense, 10° ≤ 2θ ≤ 90°, most intense first)
- 33.0 deg, intensity 100, (0 4 1)
- 39.6 deg, intensity 98, (1 5 -1)
- 33.8 deg, intensity 96, (3 1 -1)
- 31.4 deg, intensity 85, (1 3 1)
- 31.7 deg, intensity 81, (1 1 -2)
- 32.5 deg, intensity 79, (2 0 1)
- 36.9 deg, intensity 60, (2 4 0)
- 55.6 deg, intensity 55, (3 3 -3)

```
data_Er8Ru2Rh
_cell_length_a 8.2356
_cell_length_b 12.5264
_cell_length_c 5.7949
_cell_angle_alpha 90.00
_cell_angle_beta 109.53
_cell_angle_gamma 90.00
_space_group_name_H-M_alt 'C 1 m 1'
_space_group_IT_number 8
_space_group_name_Hall 'C -2y'
loop_
_atom_site_label
_atom_site_type_symbol
_atom_site_fract_x
_atom_site_fract_y
_atom_site_fract_z
Er1 Er 0.0000 0.0000 0.0000
Er2 Er 0.0687 0.3707 0.7910
Er3 Er 0.1530 0.1295 0.5971
Er4 Er 0.2240 0.5000 0.3778
Er5 Er 0.3641 0.2135 0.1906
Ru1 Ru 0.3580 0.3096 0.6871
Rh1 Rh 0.3637 0.0000 0.0730
```

---

For UTe6O6F30, a structure optimized by DFT (PBE) gives the calculated X-ray powder pattern in this record (λ = 1.5418 Å (Cu Kα)).
Kinematic intensities with the Lorentz-polarization factor, no thermal factor.

Peak list (8 most intense, 10° ≤ 2θ ≤ 90°, most intense first)
- 23.0 deg, intensity 100, (1 3 1)
- 19.1 deg, intensity 73, (1 3 -1)
- 20.0 deg, intensity 56, (2 0 -2)
- 10.9 deg, intensity 45, (1 1 0)
- 18.8 deg, intensity 37, (2 0 0)
- 14.5 deg, intensity 33, (0 2 1)
- 30.8 deg, intensity 28, (1 3 -3)
- 47.0 deg, intensity 27, (2 6 2)

```
data_UTe6O6F30
_cell_length_a 10.5058
_cell_length_b 16.2816
_cell_length_c 10.3714
_cell_angle_alpha 90.00
_cell_angle_beta 116.27
_cell_angle_gamma 90.00
_space_group_name_H-M_alt 'C 1 2/m 1'
_space_group_IT_number 12
_space_group_name_Hall '-C 2y'
loop_
_atom_site_label
_atom_site_type_symbol
_atom_site_fract_x
_atom_site_fract_y
_atom_site_fract_z
U1 U 0.0000 0.0000 0.0000
Te1 Te 0.2340 0.0000 0.7893
Te2 Te 0.2428 0.1667 0.2760
O1 O 0.0994 0.0000 0.8672
O2 O 0.1389 0.0896 0.1271
F1 F 0.0739 0.2208 0.2434
F2 F 0.0870 0.3863 0.6892
F3 F 0.1297 0.0812 0.6575
F4 F 0.1345 0.5000 0.2861
F5 F 0.1563 0.2579 0.5793
F6 F 0.1595 0.4188 0.0793
F7 F 0.2234 0.0992 0.4122
F8 F 0.2365 0.2646 0.8578
```

---

For CuMoAu2, a structure optimized by DFT (PBE) gives the calculated X-ray powder pattern in this record (λ = 1.5418 Å (Cu Kα)).
Kinematic intensities with the Lorentz-polarization factor, no thermal factor.

Peak list (8 most intense, 10° ≤ 2θ ≤ 90°, most intense first)
- 37.8 deg, intensity 100, (0 1 2)
- 40.0 deg, intensity 90, (1 1 0)
- 44.8 deg, intensity 62, (1 0 2)
- 66.2 deg, intensity 38, (1 2 2)
- 27.1 deg, intensity 33, (0 1 1)
- 80.8 deg, intensity 32, (2 1 2)
- 46.0 deg, intensity 30, (0 2 0)
- 62.2 deg, intensity 22, (0 0 4)

```
data_CuMoAu2
_cell_length_a 2.7464
_cell_length_b 3.9428
_cell_length_c 5.9733
_cell_angle_alpha 90.00
_cell_angle_beta 90.00
_cell_angle_gamma 90.00
_space_group_name_H-M_alt 'P m m 2'
_space_group_IT_number 25
_space_group_name_Hall 'P 2 -2'
loop_
_atom_site_label
_atom_site_type_symbol
_atom_site_fract_x
_atom_site_fract_y
_atom_site_fract_z
Cu1 Cu 0.0000 0.0000 0.0000
Mo1 Mo 0.5000 0.5000 0.2260
Au1 Au 0.0000 0.0000 0.4677
Au2 Au 0.5000 0.5000 0.7596
```